The following is a theoretical powder diffraction line list of NaMnF4. It was derived from a crystal structure in Alexandria, relaxed with GGA+U, using Cu Kα (weighted mean of Kα1 and Kα2).
Peak positions follow from Bragg's law for the DFT cell and can differ from measured ones.

Principal peaks in the range 2θ = 10–90°, sorted by position:
- (0 1 0), 2θ = 16.0°, I 48
- (1 0 1), 2θ = 23.3°, I 49
- (1 1 1), 2θ = 28.3°, I 100
- (2 0 0), 2θ = 32.6°, I 21
- (2 1 1), 2θ = 40.4°, I 24
- (0 2 2), 2θ = 47.3°, I 18
- (2 0 2), 2θ = 47.6°, I 22
- (1 3 1), 2θ = 55.1°, I 18

Atomic structure:
a = 5.4963 Å, b = 5.5531 Å, c = 5.3218 Å
α = 90.00°, β = 90.00°, γ = 90.00°
Space group Pmn2_1 (No. 31)
Inequivalent atoms, fractional coordinates:
Na (0.0000, 0.0536, 0.0000)
Mn (0.0000, 0.5005, 0.4638)
F (0.0000, 0.2061, 0.6194)
F (0.0000, 0.7937, 0.3071)
F (0.2460, 0.3643, 0.2082)